[1]
GaP3O9: simulated powder X-ray diffraction pattern (Cu Kα, 1.54184 Å), based on a DFT-relaxed cell (GGA-PBE, Alexandria).

Peak list (10 most intense, 5 to 70 degrees two-theta, most intense first)
| d (Å) | Rel. int. |
| --- | --- |
| 3.934 | 100 |
| 3.442 | 37 |
| 5.328 | 23 |
| 2.811 | 18 |
| 2.766 | 16 |
| 4.680 | 12 |
| 2.467 | 12 |
| 3.107 | 12 |
| 3.275 | 12 |
| 1.538 | 9 |

Crystal structure
Lattice parameters (Å, degrees): 7.355 7.355 9.468 122.25 122.25 52.29
Atoms (fractional coordinates):
Ga1 0.240 0.760 0.500
Ga2 0.760 0.240 0.000
P1 0.035 0.237 0.823
P2 0.237 0.035 0.323
P3 0.275 0.450 0.675
P4 0.450 0.275 0.175
P5 0.694 0.794 0.238
P6 0.794 0.694 0.738
O1 0.080 0.154 0.182
O2 0.147 0.910 0.335
O3 0.154 0.080 0.682
O4 0.217 0.311 0.008
O5 0.311 0.217 0.508
O6 0.315 0.618 0.664
O7 0.372 0.426 0.337
O8 0.426 0.372 0.837
O9 0.497 0.844 0.296
O10 0.560 0.743 0.592
O11 0.564 0.995 0.148
O12 0.618 0.315 0.164
O13 0.743 0.560 0.092
O14 0.817 0.901 0.901
O15 0.844 0.497 0.796
O16 0.901 0.817 0.401
O17 0.910 0.147 0.835
O18 0.995 0.564 0.648

---

[2]
La12Sm7Zr: simulated powder X-ray diffraction pattern (Cu Kα, 1.54184 Å), based on a DFT-relaxed cell (GGA-PBE, Alexandria).

Peak list (10 most intense, 5 to 70 degrees two-theta, most intense first)
| d (Å) | Rel. int. |
| --- | --- |
| 2.997 | 100 |
| 3.260 | 31 |
| 2.713 | 24 |
| 2.749 | 23 |
| 2.329 | 21 |
| 2.649 | 20 |
| 1.932 | 19 |
| 1.956 | 18 |
| 2.264 | 18 |
| 3.324 | 17 |

Crystal structure
Lattice parameters (Å, degrees): 11.494 11.494 11.494 116.62 116.62 116.62
Atoms (fractional coordinates):
La1 0.000 0.406 0.594
La2 0.000 0.594 0.406
La3 0.060 0.060 0.415
La4 0.060 0.415 0.060
La5 0.406 0.000 0.594
La6 0.406 0.594 0.000
La7 0.415 0.060 0.060
La8 0.585 0.940 0.940
La9 0.594 0.000 0.406
La10 0.594 0.406 0.000
La11 0.940 0.585 0.940
La12 0.940 0.940 0.585
Sm1 0.000 0.000 0.000
Sm2 0.145 0.393 0.393
Sm3 0.393 0.145 0.393
Sm4 0.393 0.393 0.145
Sm5 0.607 0.607 0.855
Sm6 0.607 0.855 0.607
Sm7 0.855 0.607 0.607
Zr1 0.500 0.500 0.500

---

[3]
MnFe2Se: simulated powder X-ray diffraction pattern (Cu Kα, 1.54184 Å), based on a DFT-relaxed cell (GGA-PBE, Alexandria).

Peak list (10 most intense, 5 to 70 degrees two-theta, most intense first)
| d (Å) | Rel. int. |
| --- | --- |
| 2.169 | 100 |
| 2.113 | 82 |
| 1.837 | 24 |
| 2.985 | 24 |
| 1.830 | 23 |
| 1.578 | 18 |
| 1.547 | 17 |
| 2.392 | 13 |
| 2.402 | 12 |
| 1.907 | 10 |

Crystal structure
Lattice parameters (Å, degrees): 3.094 3.156 5.890 90.00 104.98 90.00
Atoms (fractional coordinates):
Mn1 0.000 0.000 0.000
Fe1 0.375 0.500 0.748
Fe2 0.771 0.000 0.535
Se1 0.600 0.500 0.202

---

[4]
Tb8Ga2Ag3: simulated powder X-ray diffraction pattern (Cu Kα, 1.54184 Å), based on a DFT-relaxed cell (GGA-PBE, Alexandria).

Peak list (10 most intense, 5 to 70 degrees two-theta, most intense first)
| d (Å) | Rel. int. |
| --- | --- |
| 2.535 | 100 |
| 2.482 | 48 |
| 1.443 | 34 |
| 3.511 | 23 |
| 1.474 | 18 |
| 1.755 | 17 |
| 3.664 | 13 |
| 2.055 | 11 |
| 1.832 | 9 |
| 4.110 | 8 |

Crystal structure
Lattice parameters (Å, degrees): 8.850 8.850 4.968 90.00 90.00 111.79
Atoms (fractional coordinates):
Tb1 0.117 0.373 0.500
Tb2 0.123 0.877 0.000
Tb3 0.367 0.633 0.000
Tb4 0.373 0.117 0.500
Tb5 0.627 0.883 0.500
Tb6 0.633 0.367 0.000
Tb7 0.877 0.123 0.000
Tb8 0.883 0.627 0.500
Ga1 0.247 0.753 0.500
Ga2 0.753 0.247 0.500
Ag1 0.257 0.257 0.000
Ag2 0.500 0.500 0.500
Ag3 0.743 0.743 0.000

---

[5]
Ca3Tm2Cd3: simulated powder X-ray diffraction pattern (Cu Kα, 1.54184 Å), based on a DFT-relaxed cell (GGA-PBE, Alexandria).

Peak list (10 most intense, 5 to 70 degrees two-theta, most intense first)
| d (Å) | Rel. int. |
| --- | --- |
| 2.711 | 100 |
| 2.742 | 28 |
| 11.295 | 25 |
| 2.824 | 22 |
| 4.433 | 21 |
| 1.577 | 21 |
| 1.967 | 15 |
| 1.608 | 10 |
| 1.545 | 9 |
| 2.443 | 9 |

Crystal structure
Lattice parameters (Å, degrees): 11.772 11.772 11.772 161.72 153.06 32.75
Atoms (fractional coordinates):
Ca1 0.000 0.000 0.000
Ca2 0.377 0.877 0.500
Ca3 0.623 0.123 0.500
Tm1 0.233 0.233 0.000
Tm2 0.767 0.767 0.000
Cd1 0.122 0.622 0.500
Cd2 0.500 0.500 0.000
Cd3 0.878 0.378 0.500

---

[6]
Tl5SbAu: simulated powder X-ray diffraction pattern (Cu Kα, 1.54184 Å), based on a DFT-relaxed cell (GGA-PBE, Alexandria).

Peak list (10 most intense, 5 to 70 degrees two-theta, most intense first)
| d (Å) | Rel. int. |
| --- | --- |
| 3.387 | 100 |
| 2.713 | 85 |
| 2.259 | 58 |
| 2.828 | 56 |
| 2.920 | 43 |
| 2.567 | 37 |
| 2.743 | 30 |
| 3.197 | 29 |
| 13.574 | 28 |
| 2.405 | 26 |

Crystal structure
Lattice parameters (Å, degrees): 7.270 4.517 13.600 90.00 93.57 90.00
Atoms (fractional coordinates):
Tl1 0.015 0.250 0.189
Tl2 0.174 0.750 0.560
Tl3 0.261 0.750 0.012
Tl4 0.346 0.250 0.740
Tl5 0.349 0.250 0.390
Tl6 0.651 0.750 0.610
Tl7 0.654 0.750 0.260
Tl8 0.739 0.250 0.988
Tl9 0.826 0.250 0.440
Tl10 0.985 0.750 0.811
Sb1 0.438 0.250 0.152
Sb2 0.562 0.750 0.848
Au1 0.048 0.750 0.345
Au2 0.952 0.250 0.655